This entry pairs a crystal structure of Ba2NaAs3Pd4 with its calculated PXRD pattern. Radiation: Cu Kα, 1.54184 Å. Structure: a crystal structure in Alexandria, relaxed with GGA-PBE.
No peak broadening, texture or thermal motion is included.

Principal peaks in the range 10° ≤ 2θ ≤ 90°, in order of rising 2θ:
2θ/deg	I (rel.)
27.74	20
32.09	66
32.57	100
39.64	70
44.30	19
47.32	29
51.88	33
57.31	23
63.39	24
67.49	24

Structure:
```
data_Ba2NaAs3Pd4
_cell_length_a 4.547
_cell_length_b 4.547
_cell_length_c 10.597
_cell_angle_alpha 90.00
_cell_angle_beta 90.00
_cell_angle_gamma 90.00
_space_group_name_H-M_alt 'P -4 m 2'
_space_group_IT_number 115
loop_
_space_group_symop_operation_xyz
'x,y,z'
'y,-x,-z'
'-x,-y,z'
'-y,x,-z'
'-x,y,z'
'-y,-x,-z'
'x,-y,z'
'y,x,-z'
loop_
_atom_site_label
_atom_site_fract_x
_atom_site_fract_y
_atom_site_fract_z
Ba1 0.000 0.500 0.246
Na1 0.000 0.000 0.500
As1 0.000 0.500 0.878
As2 0.500 0.500 0.500
Pd1 0.000 0.000 0.000
Pd2 0.000 0.500 0.639
Pd3 0.500 0.500 0.000
```